Starting from the PBE geometry in OQMD, the powder diffraction line list of GdErSnC was calculated for Cu Ka.
Lines closer than 0.1° are merged.

Structural model:
Cell lengths 3.6202, 3.6202, 15.9294 Å; angles 90.00, 90.00, 120.00 degrees
Space group P-3m1 (No. 164)
Inequivalent atoms, fractional coordinates:
Gd (0.3333, 0.6667, 0.4138)
Er (0.3333, 0.6667, 0.0826)
Sn (0.3333, 0.6667, 0.7540)
C (0.0000, 0.0000, 0.0000)
C (0.0000, 0.0000, 0.5000)

Largest 10 diffraction maxima, in order of falling intensity, 2θ = 10–90°:
2theta  intensity  index
33.2  100.0  1 0 3
28.5  22.3  1 0 0
50.4  21.7  1 1 0
62.1  21.4  1 1 6
33.8  20.0  0 0 6
60.0  18.2  1 0 9
61.7  17.1  0 2 3
44.7  15.8  0 1 6
83.6  15.0  2 1 3
82.1  7.6  0 2 9



Starting from the PBE geometry in OQMD, the powder diffraction line list of ErTm3Ge2C2 was calculated for Cu Ka.
Lines closer than 0.1° are merged.

Structural model:
Cell lengths 3.5351, 3.5351, 14.7641 Å; angles 90.00, 90.00, 120.00 degrees
Space group P3m1 (No. 156)
Inequivalent atoms, fractional coordinates:
Er (0.0000, 0.0000, 0.0000)
Tm (0.0000, 0.0000, 0.6797)
Tm (0.6667, 0.3333, 0.1804)
Tm (0.6667, 0.3333, 0.5003)
Ge (0.0000, 0.0000, 0.3402)
Ge (0.6667, 0.3333, 0.8394)
C (0.3333, 0.6667, 0.0906)
C (0.3333, 0.6667, 0.5900)

Largest 10 diffraction maxima, in order of falling intensity, 2θ = 10–90°:
2theta  intensity  index
34.5  100.0  0 1 3
29.2  23.4  1 0 0
51.7  22.4  1 1 0
65.0  19.7  1 1 6
36.5  17.4  0 0 6
63.7  17.0  2 0 3
86.4  15.0  1 2 3
64.4  14.8  0 1 9
47.4  14.4  1 0 6
12.0  10.3  0 0 2



Starting from the PBE geometry in OQMD, the powder diffraction line list of ErH7C8SO9 was calculated for Cu Ka.
Lines closer than 0.1° are merged.

Structural model:
Cell lengths 6.2291, 8.4863, 10.4902 Å; angles 90.86, 100.01, 108.02 degrees
Space group P-1 (No. 2)
Inequivalent atoms, fractional coordinates:
Er (0.1547, 0.2484, 0.1165)
H (0.1876, 0.1535, 0.5558)
H (0.3050, 0.9580, 0.1098)
H (0.3413, 0.6400, 0.7876)
H (0.3531, 0.6399, 0.5819)
H (0.3901, 0.5903, 0.3544)
H (0.4162, 0.4904, 0.8518)
H (0.4636, 0.9052, 0.8190)
C (0.0156, 0.7544, 0.6564)
C (0.0232, 0.2231, 0.7017)
C (0.0544, 0.2031, 0.5755)
C (0.0783, 0.7462, 0.5270)
C (0.1337, 0.6982, 0.2713)
C (0.1555, 0.6551, 0.1362)
C (0.2461, 0.6779, 0.5027)
C (0.2681, 0.6507, 0.3754)
S (0.2164, 0.1642, 0.8227)
O (0.0874, 0.0220, 0.8877)
O (0.1452, 0.7360, 0.7610)
O (0.1480, 0.7593, 0.0502)
O (0.1757, 0.2239, 0.3372)
O (0.1796, 0.5161, 0.1144)
O (0.3145, 0.3079, 0.9219)
O (0.3777, 0.0779, 0.1379)
O (0.3824, 0.1280, 0.7565)
O (0.4677, 0.5892, 0.8020)

Largest 10 diffraction maxima, in order of falling intensity, 2θ = 10–90°:
2theta  intensity  index
22.1  100.0  0 2 0
18.9  90.3  1 -1 1
15.2  86.8  1 0 0
15.7  70.1  1 -1 0
30.8  53.5  1 2 0
16.0  40.7  1 0 -1
13.5  30.4  0 1 -1
20.8  28.3  1 0 -2
21.8  28.2  1 1 -1
43.7  27.9  1 2 3



Starting from the PBE geometry in OQMD, the powder diffraction line list of ErHfPbC was calculated for Cu Ka.
Lines closer than 0.1° are merged.

Structural model:
Cell lengths 3.4743, 3.4743, 15.3498 Å; angles 90.00, 90.00, 120.00 degrees
Space group P-3m1 (No. 164)
Inequivalent atoms, fractional coordinates:
Er (0.3333, 0.6667, 0.0860)
Hf (0.3333, 0.6667, 0.4234)
Pb (0.3333, 0.6667, 0.7379)
C (0.0000, 0.0000, 0.0000)
C (0.0000, 0.0000, 0.5000)

Largest 10 diffraction maxima, in order of falling intensity, 2θ = 10–90°:
2theta  intensity  index
34.6  100.0  1 0 3
29.7  23.3  1 0 0
52.7  21.6  1 1 0
64.9  19.8  1 1 6
35.1  19.0  0 0 6
64.6  16.8  0 2 3
88.0  15.2  2 1 3
62.6  14.9  1 0 9
46.6  14.6  0 1 6
86.2  6.4  0 2 9



Starting from the PBE geometry in OQMD, the powder diffraction line list of ErHfCSe was calculated for Cu Ka.
Lines closer than 0.1° are merged.

Structural model:
Cell lengths 3.5426, 3.5426, 12.8955 Å; angles 90.00, 90.00, 120.00 degrees
Space group P6_3mc (No. 186)
Inequivalent atoms, fractional coordinates:
Er (0.3333, 0.6667, 0.0000)
Hf (0.3333, 0.6667, 0.6952)
C (0.0000, 0.0000, 0.1096)
Se (0.3333, 0.6667, 0.3406)

Largest 10 diffraction maxima, in order of falling intensity, 2θ = 10–90°:
2theta  intensity  index
36.0  100.0  1 0 3
29.1  27.7  1 0 0
51.6  26.5  1 1 0
64.5  18.3  2 0 3
87.0  16.6  2 1 3
68.7  16.1  1 1 6
29.9  13.2  1 0 1
42.0  11.3  0 0 6
51.9  10.5  1 0 6
58.4  8.5  1 0 7



Starting from the PBE geometry in OQMD, the powder diffraction line list of ErHfTlC was calculated for Cu Ka.
Lines closer than 0.1° are merged.

Structural model:
Cell lengths 3.4368, 3.4368, 15.5322 Å; angles 90.00, 90.00, 120.00 degrees
Space group P6_3mc (No. 186)
Inequivalent atoms, fractional coordinates:
Er (0.3333, 0.6667, 0.0000)
Hf (0.3333, 0.6667, 0.6656)
Tl (0.3333, 0.6667, 0.3299)
C (0.0000, 0.0000, 0.0954)

Largest 10 diffraction maxima, in order of falling intensity, 2θ = 10–90°:
2theta  intensity  index
34.8  100.0  1 0 3
65.2  37.8  1 1 6
30.0  22.5  1 0 0
34.7  21.6  0 0 6
53.3  20.7  1 1 0
62.2  18.8  1 0 9
46.5  15.8  1 0 6
89.1  14.9  2 1 3
86.3  7.8  2 0 9
73.4  4.1  2 0 6